Starting from DFT lattice parameters and positions (GGA+U), the powder XRD pattern of Sm2TiCrO6 was computed for Cu Kα, 1.54184 Å.
Kinematic intensities with the Lorentz-polarization factor, no thermal factor.

Cell and atoms:
Unit cell a=5.290 b=5.290 c=4.943 alpha=90.00 beta=90.00 gamma=90.00
Space group P4mm (No. 99)
Symmetry-distinct sites (fractional):
Sm 0.000 0.500 0.000
Ti 0.000 0.000 0.579
Cr 0.500 0.500 0.592
O 0.000 0.000 0.206
O 0.239 0.239 0.716
O 0.500 0.500 0.151

Principal peaks in the range 15 to 90 degrees two-theta, by angle:
2θ (°), intensity, (hkl)
17.9, 33, 0 0 1
30.0, 100, 1 1 1
33.9, 35, 2 0 0
38.6, 22, 2 0 1
43.9, 22, 1 1 2
48.7, 22, 2 2 0
50.5, 25, 2 0 2
58.2, 30, 3 1 1